Starting from the GGA+U geometry in Alexandria, the X-ray diffraction stick pattern of SrLaNiRuO6 was computed for Cu Kα X-rays.
Peak positions follow from Bragg's law for the DFT cell and can differ from measured ones.

Structure:
```
data_SrLaNiRuO6
_chemical_formula_sum 'Sr2 La2 Ni2 Ru2 O12'
_symmetry_space_group_name_H-M 'P 1 c 1'
_symmetry_Int_Tables_number 7
_symmetry_space_group_name_Hall 'P -2yc'
_cell_length_a 5.6019
_cell_length_b 5.6600
_cell_length_c 9.7060
_cell_angle_alpha 90.00
_cell_angle_beta 125.22
_cell_angle_gamma 90.00
loop_
_atom_site_label
_atom_site_type_symbol
_atom_site_fract_x
_atom_site_fract_y
_atom_site_fract_z
Sr1 Sr 0.0000 0.2140 0.0000
La1 La 0.4865 0.2930 0.5016
Ni1 Ni 0.7440 0.2468 0.2504
Ru1 Ru 0.2441 0.2493 0.7502
O1 O 0.0030 0.4623 0.7854
O2 O 0.0856 0.0355 0.2916
O3 O 0.4176 0.4744 0.2124
O4 O 0.4887 0.0478 0.7096
O5 O 0.5534 0.2701 0.9943
O6 O 0.9187 0.2379 0.5060
```

Most intense lines, 10° ≤ 2θ ≤ 90°, by angle:
(hkl)	Position (°2θ)	d [Å]	Rel. int.
0 2 0	31.62	2.830	23
1 1 1	31.85	2.809	100
2 0 -2	31.95	2.801	25
2 2 -2	45.57	1.991	27
0 0 4	45.77	1.982	15
1 3 -3	56.46	1.630	15
0 2 4	56.70	1.624	10
2 0 2	56.89	1.619	33
2 2 -6	66.57	1.405	15
1 1 5	75.83	1.254	12